Diffraction record for MgAl. The powder XRD pattern is calculated, not measured: it uses a crystal structure in the Materials Project, relaxed with GGA-PBE and a wavelength of 1.5418 Å.
Peak positions follow from Bragg's law for the DFT cell and can differ from measured ones.

The 5 most intense peaks (5 to 70 degrees two-theta), in order of rising 2θ:
23.96 deg, intensity 100; 39.63 deg, intensity 75; 46.85 deg, intensity 45; 57.30 deg, intensity 12; 62.99 deg, intensity 18

Structure:
Unit cell a=6.432 b=6.432 c=6.432 alpha=90.00 beta=90.00 gamma=90.00
Atoms (fractional coordinates):
Mg1 0.000 0.000 0.000
Mg2 0.000 0.500 0.500
Mg3 0.500 0.000 0.500
Mg4 0.500 0.500 0.000
Al1 0.250 0.250 0.750
Al2 0.250 0.750 0.250
Al3 0.750 0.250 0.250
Al4 0.750 0.750 0.750

=====

Diffraction record for Ho5Si2Sb2. The powder XRD pattern is calculated, not measured: it uses a crystal structure in the Materials Project, relaxed with GGA-PBE and a wavelength of 1.5418 Å.
Peak positions follow from Bragg's law for the DFT cell and can differ from measured ones.

The 12 most intense peaks (5 to 70 degrees two-theta), in order of rising 2θ:
25.47 deg, intensity 53; 26.11 deg, intensity 46; 31.10 deg, intensity 50; 32.35 deg, intensity 45; 32.97 deg, intensity 92; 33.82 deg, intensity 62; 34.98 deg, intensity 66; 36.79 deg, intensity 100; 39.39 deg, intensity 25; 48.24 deg, intensity 23; 52.80 deg, intensity 24; 58.64 deg, intensity 35

Structure:
Unit cell a=8.500 b=8.500 c=7.840 alpha=90.00 beta=90.00 gamma=54.75
Atoms (fractional coordinates):
Ho1 0.000 0.000 0.000
Ho2 0.040 0.709 0.665
Ho3 0.209 0.540 0.165
Ho4 0.291 0.960 0.665
Ho5 0.460 0.791 0.165
Ho6 0.500 0.500 0.500
Ho7 0.540 0.209 0.835
Ho8 0.709 0.040 0.335
Ho9 0.791 0.460 0.835
Ho10 0.960 0.291 0.335
Si1 0.133 0.867 0.368
Si2 0.367 0.633 0.868
Si3 0.633 0.367 0.132
Si4 0.867 0.133 0.632
Sb1 0.206 0.206 0.000
Sb2 0.294 0.294 0.500
Sb3 0.706 0.706 0.500
Sb4 0.794 0.794 0.000